Structure and calculated X-ray powder pattern of VZnPd6 (a PBE-relaxed structure; CuKα).
Peak positions follow from Bragg's law for the DFT cell and can differ from measured ones.

Peak list (8 most intense, 10 to 90 degrees two-theta, in order of rising 2θ)
| d [Å] | I/Imax | hkl |
| --- | --- | --- |
| 3.603 | 35 | 1 0 -1 |
| 2.497 | 28 | 0 2 0 |
| 2.258 | 19 | 2 -1 0 |
| 2.184 | 74 | 1 0 2 |
| 2.180 | 73 | 0 2 1 |
| 2.168 | 69 | 2 1 0 |
| 2.097 | 100 | 1 1 -2 |
| 2.072 | 45 | -2 1 1 |

Cell and atoms:
```
data_VZnPd6
_chemical_formula_sum 'V1 Zn1 Pd6'
_symmetry_space_group_name_H-M 'P -1'
_symmetry_Int_Tables_number 2
_cell_length_a 4.945
_cell_length_b 5.004
_cell_length_c 5.016
_cell_angle_alpha 93.40
_cell_angle_beta 92.71
_cell_angle_gamma 92.80
loop_
_symmetry_equiv_pos_as_xyz
'x,y,z'
'-x,-y,-z'
loop_
_atom_site_label
_atom_site_type_symbol
_atom_site_fract_x
_atom_site_fract_y
_atom_site_fract_z
V1 V 0.000 0.000 0.000
Zn1 Zn 0.500 0.500 0.500
Pd1 Pd 0.035 0.454 0.750
Pd2 Pd 0.250 0.956 0.553
Pd3 Pd 0.456 0.750 0.039
```

---

Structure and calculated X-ray powder pattern of CsNp2O6 (a PBE-relaxed structure; CuKα).
Peak positions follow from Bragg's law for the DFT cell and can differ from measured ones.

Peak list (8 most intense, 10 to 90 degrees two-theta, in order of rising 2θ)
| d [Å] | I/Imax | hkl |
| --- | --- | --- |
| 6.446 | 39 | 1 1 1 |
| 3.367 | 100 | 3 1 1 |
| 3.223 | 59 | 2 2 2 |
| 2.149 | 36 | 3 3 3 |
| 1.974 | 42 | 4 4 0 |
| 1.703 | 16 | 5 3 3 |
| 1.683 | 28 | 6 2 2 |
| 1.454 | 26 | 7 3 1 |

Cell and atoms:
a b c (Å): 11.166 11.166 11.166
angles (deg): 90.00 90.00 90.00
Space group Fd-3m (No. 227, origin choice 2)
Symmetry-distinct sites (fractional):
Cs 0.125 0.125 0.125 [8 per cell]
Np 0.000 0.000 0.500 [16 per cell]
O 0.065 0.375 0.875 [48 per cell]

---

Structure and calculated X-ray powder pattern of Ca5Sb3 (a PBE-relaxed structure; CuKα).
Peak positions follow from Bragg's law for the DFT cell and can differ from measured ones.

Peak list (8 most intense, 10 to 90 degrees two-theta, in order of rising 2θ)
| d [Å] | I/Imax | hkl |
| --- | --- | --- |
| 3.945 | 92 | 1 2 1 |
| 3.818 | 41 | 2 2 0 |
| 3.755 | 91 | 3 0 1 |
| 3.047 | 83 | 1 2 2 |
| 2.954 | 100 | 4 0 1 |
| 2.811 | 90 | 2 2 2 |
| 2.636 | 58 | 4 2 0 |
| 2.397 | 54 | 0 4 0 |

Cell and atoms:
```
data_Ca5Sb3
_chemical_formula_sum 'Ca20 Sb12'
_symmetry_space_group_name_H-M 'P n m a'
_symmetry_Int_Tables_number 62
_cell_length_a 12.626
_cell_length_b 9.588
_cell_length_c 8.310
_cell_angle_alpha 90.00
_cell_angle_beta 90.00
_cell_angle_gamma 90.00
loop_
_symmetry_equiv_pos_as_xyz
'x,y,z'
'-x,-y,-z'
'-x+1/2,-y,z+1/2'
'x+1/2,y,-z+1/2'
'x+1/2,-y+1/2,-z+1/2'
'-x+1/2,y+1/2,z+1/2'
'-x,y+1/2,-z'
'x,-y+1/2,z'
loop_
_atom_site_label
_atom_site_type_symbol
_atom_site_fract_x
_atom_site_fract_y
_atom_site_fract_z
Ca1 Ca 0.005 0.250 0.035
Ca2 Ca 0.078 0.042 0.692
Ca3 Ca 0.207 0.750 0.346
Ca4 Ca 0.228 0.250 0.319
Sb1 Sb 0.015 0.750 0.577
Sb2 Sb 0.171 0.512 0.062
```

---

What is the formula in the first record? VZnPd6